No. 1
Simulated XRD peak list
Compound: Mg2CoNiH6
Radiation: Cu Kα X-rays
Structure: a crystal structure in Alexandria, relaxed with PBE
Neutral-atom scattering factors, no anomalous dispersion.

Atomic structure:
a = 4.6889 Å, b = 4.6889 Å, c = 4.6866 Å
α = 119.88°, β = 119.88°, γ = 90.16°
Positions (direct):
Mg  0.2493  0.7507  0.0000
Mg  0.7507  0.2493  0.0000
Co  0.5000  0.5000  0.5000
Ni  0.0000  0.0000  0.5000
H  0.2534  0.2534  0.4989
H  0.2535  0.2535  0.0096
H  0.2555  0.7445  0.5000
H  0.7445  0.2555  0.5000
H  0.7465  0.7465  0.9904
H  0.7466  0.7466  0.5011

The 10 most intense peaks (2θ = 10–90°), by angle:
Position (°2θ)  intensity
26.88  27
38.37  100
47.47  5
55.33  12
55.51  6
62.57  5
69.36  21
69.47  10
82.12  5
82.26  5

=====

No. 2
Simulated XRD peak list
Compound: MgNpCoH6
Radiation: Cu Kα X-rays
Structure: a crystal structure in Alexandria, relaxed with PBE
Neutral-atom scattering factors, no anomalous dispersion.

Atomic structure:
a = 4.4606 Å, b = 4.4606 Å, c = 4.3347 Å
α = 90.00°, β = 90.00°, γ = 120.00°
Positions (direct):
Mg  0.0000  0.0000  0.0000
Np  0.6667  0.3333  0.5000
Co  0.3333  0.6667  0.0000
H  0.1896  0.3792  0.2771
H  0.1896  0.3792  0.7229
H  0.1896  0.8104  0.2771
H  0.1896  0.8104  0.7229
H  0.6208  0.8104  0.2771
H  0.6208  0.8104  0.7229

The 10 most intense peaks (2θ = 10–90°), by angle:
Position (°2θ)  intensity
20.49  12
23.02  46
31.01  100
40.44  32
45.75  10
48.14  15
51.82  24
59.47  21
67.72  22
69.45  10

=====

No. 3
Simulated XRD peak list
Compound: PmMgCo2H8
Radiation: Cu Kα X-rays
Structure: a crystal structure in Alexandria, relaxed with PBE
Neutral-atom scattering factors, no anomalous dispersion.

Atomic structure:
a = 6.0027 Å, b = 6.0027 Å, c = 6.0027 Å
α = 44.64°, β = 44.64°, γ = 44.64°
Positions (direct):
Pm  0.0000  0.0000  0.0000
Mg  0.5000  0.5000  0.5000
Co  0.1958  0.1958  0.1958
Co  0.8042  0.8042  0.8042
H  0.0864  0.4015  0.8724
H  0.1276  0.9136  0.5985
H  0.2972  0.2972  0.2972
H  0.4015  0.8724  0.0864
H  0.5985  0.1276  0.9136
H  0.7028  0.7028  0.7028
H  0.8724  0.0864  0.4015
H  0.9136  0.5985  0.1276

The 10 most intense peaks (2θ = 10–90°), by angle:
Position (°2θ)  intensity
23.19  100
31.66  66
33.21  26
35.87  69
39.53  80
51.51  17
52.56  42
54.44  21
61.97  20
69.34  20

=====

No. 4
Simulated XRD peak list
Compound: PrMgCo2H8
Radiation: Cu Kα X-rays
Structure: a crystal structure in Alexandria, relaxed with PBE
Neutral-atom scattering factors, no anomalous dispersion.

Atomic structure:
a = 6.1039 Å, b = 6.1039 Å, c = 6.1039 Å
α = 43.94°, β = 43.94°, γ = 43.94°
Positions (direct):
Pr  0.0000  0.0000  0.0000
Mg  0.5000  0.5000  0.5000
Co  0.1950  0.1950  0.1950
Co  0.8050  0.8050  0.8050
H  0.0869  0.4027  0.8740
H  0.1260  0.9131  0.5973
H  0.2944  0.2944  0.2944
H  0.4027  0.8740  0.0869
H  0.5973  0.1260  0.9131
H  0.7056  0.7056  0.7056
H  0.8740  0.0869  0.4027
H  0.9131  0.5973  0.1260

The 10 most intense peaks (2θ = 10–90°), by angle:
Position (°2θ)  intensity
23.12  100
31.32  66
32.53  28
35.41  72
39.46  82
51.22  17
52.04  44
54.05  21
60.78  21
68.95  20

=====

What is the formula in the third record? PmMgCo2H8